Entry 1:
This entry pairs a crystal structure of TcBPd3 with its calculated powder diffraction line list. Radiation: Cu Kα X-rays. Structure: a structure optimized by DFT (PBE).

Cell: 4.2075 4.2075 4.2075 Å, 90.00 90.00 90.00°
Space group Pm-3m (No. 221)
Symmetry-distinct sites (fractional):
Tc1 0.0000 0.0000 0.0000 [1 per cell]
B1 0.5000 0.5000 0.5000 [1 per cell]
Pd1 0.0000 0.5000 0.5000 [3 per cell]

Largest 6 diffraction maxima, sorted by position, 2θ = 15–90°:
d 4.207, rel. 0.5, (1 0 0)
d 2.429, rel. 100.0, (1 1 1)
d 2.104, rel. 52.5, (2 0 0)
d 1.488, rel. 33.8, (2 2 0)
d 1.269, rel. 36.7, (3 1 1)
d 1.215, rel. 11.3, (2 2 2)

=====

Entry 2:
This entry pairs a crystal structure of Pr8Ho3 with its calculated powder diffraction line list. Radiation: Cu Kα X-rays. Structure: a structure optimized by DFT (PBE).

Cell: 11.5983 5.1652 13.2412 Å, 90.00 105.12 90.00°
Space group C2/m (No. 12)
Symmetry-distinct sites (fractional):
Pr1 0.0461 0.0000 0.3178 [4 per cell]
Pr2 0.1355 0.0000 0.9544 [4 per cell]
Pr3 0.1806 0.5000 0.7725 [4 per cell]
Pr4 0.2278 0.0000 0.5913 [4 per cell]
Ho1 0.0000 0.5000 0.5000 [2 per cell]
Ho2 0.0910 0.5000 0.1344 [4 per cell]

Largest 8 diffraction maxima, sorted by position, 2θ = 15–90°:
d 2.992, rel. 100.0, (1 1 3)
d 2.596, rel. 34.0, (4 0 1)
d 2.583, rel. 16.8, (0 2 0)
d 1.831, rel. 30.3, (4 2 1)
d 1.566, rel. 14.5, (5 1 4)
d 1.564, rel. 14.5, (7 1 -1)
d 1.188, rel. 8.8, (5 3 4)
d 1.160, rel. 8.2, (8 2 2)

=====

Entry 3:
This entry pairs a crystal structure of La2Pr4NdEr with its calculated powder diffraction line list. Radiation: Cu Kα X-rays. Structure: a structure optimized by DFT (PBE).

Cell: 5.2063 5.2224 10.4871 Å, 90.00 90.08 90.00°
Space group P2/m (No. 10)
Symmetry-distinct sites (fractional):
La1 0.0000 0.0000 0.0000 [1 per cell]
La2 0.5000 0.5000 0.5000 [1 per cell]
Pr1 0.9995 0.5000 0.2473 [2 per cell]
Pr2 0.5001 0.0000 0.2479 [2 per cell]
Nd1 0.0000 0.0000 0.5000 [1 per cell]
Er1 0.5000 0.5000 0.0000 [1 per cell]

Largest 8 diffraction maxima, sorted by position, 2θ = 15–90°:
d 3.016, rel. 100.0, (1 1 2)
d 2.622, rel. 17.1, (0 0 4)
d 2.611, rel. 16.9, (0 2 0)
d 2.603, rel. 16.8, (2 0 0)
d 1.850, rel. 18.3, (0 2 4)
d 1.844, rel. 18.1, (2 2 0)
d 1.579, rel. 14.6, (1 1 6)
d 1.575, rel. 14.5, (1 3 2)

=====

What is the formula in the first record?
TcBPd3